# Fe3O4F2
Simulated XRD peak list, λ = 1.5418 Å (Cu Kα). Input: a DFT-relaxed cell (GGA+U, the Materials Project).

Most intense lines, 2θ = 5–70°, in order of rising 2θ:
| 2theta | I/Imax | hkl |
| --- | --- | --- |
| 27.05 | 100 | 0 1 1 |
| 34.96 | 55 | 3 0 1 |
| 38.63 | 9 | 0 0 2 |
| 40.11 | 17 | 3 1 1 |
| 43.42 | 8 | 0 2 1 |
| 44.56 | 2 | 1 1 2 |
| 53.08 | 59 | 3 1 2 |
| 55.79 | 17 | 0 2 2 |
| 60.20 | 9 | 6 0 0 |
| 63.07 | 9 | 0 1 3 |
| 67.20 | 12 | 6 1 1 |
| 67.55 | 20 | 3 0 3 |

Unit cell a=9.223 b=4.661 c=4.661 alpha=90.00 beta=90.00 gamma=90.00
Fractional positions:
Fe: 0.000 0.238 0.000
Fe: 0.158 0.777 0.535
Fe: 0.342 0.223 0.035
Fe: 0.500 0.762 0.500
Fe: 0.658 0.223 0.035
Fe: 0.842 0.777 0.535
O: 0.000 0.560 0.722
O: 0.000 0.960 0.326
O: 0.171 0.064 0.839
O: 0.329 0.936 0.339
O: 0.500 0.040 0.826
O: 0.500 0.440 0.222
O: 0.671 0.936 0.339
O: 0.829 0.064 0.839
F: 0.168 0.451 0.226
F: 0.332 0.549 0.726
F: 0.668 0.549 0.726
F: 0.832 0.451 0.226